EuFeO3: simulated powder X-ray diffraction pattern (CuKα), based on DFT lattice parameters and positions (PBE+U).
Neutral-atom scattering factors, no anomalous dispersion.

Crystal structure
```
data_EuFeO3
_chemical_formula_sum 'Eu4 Fe4 O12'
_cell_length_a 5.494
_cell_length_b 7.801
_cell_length_c 5.563
_cell_angle_alpha 90.00
_cell_angle_beta 90.00
_cell_angle_gamma 90.00
_space_group_name_H-M_alt 'I m m a'
_space_group_IT_number 74
_space_group_name_Hall '-I 2b 2'
loop_
_atom_site_label
_atom_site_fract_x
_atom_site_fract_y
_atom_site_fract_z
Eu1 0.000 0.250 0.011
Fe1 0.000 0.000 0.500
O1 0.000 0.250 0.586
O2 0.250 0.048 0.250
```

Largest 10 diffraction maxima, most intense first, 2θ = 10–90°:
2θ/deg	d [Å]	Rel. int.	hkl
32.43	2.761	100	1 2 1
58.03	1.589	30	2 4 0
46.46	1.955	29	2 0 2
22.77	3.906	28	0 2 0
32.59	2.747	24	2 0 0
32.18	2.782	22	0 0 2
57.53	1.602	21	1 2 3
67.89	1.381	15	2 4 2
40.15	2.246	13	2 2 0
46.57	1.950	13	0 4 0

***

EuFeO3: simulated powder X-ray diffraction pattern (CuKα), based on DFT lattice parameters and positions (PBE+U).
Neutral-atom scattering factors, no anomalous dispersion.

Crystal structure
```
data_EuFeO3
_chemical_formula_sum 'Eu4 Fe4 O12'
_cell_length_a 5.588
_cell_length_b 7.796
_cell_length_c 5.498
_cell_angle_alpha 90.00
_cell_angle_beta 90.00
_cell_angle_gamma 90.00
_space_group_name_H-M_alt 'P n m a'
_space_group_IT_number 62
loop_
_space_group_symop_operation_xyz
'x,y,z'
'-x,-y,-z'
'-x+1/2,-y,z+1/2'
'x+1/2,y,-z+1/2'
'x+1/2,-y+1/2,-z+1/2'
'-x+1/2,y+1/2,z+1/2'
'-x,y+1/2,-z'
'x,-y+1/2,z'
loop_
_atom_site_label
_atom_site_fract_x
_atom_site_fract_y
_atom_site_fract_z
Eu1 0.043 0.250 0.008
Fe1 0.000 0.000 0.500
O1 0.021 0.750 0.421
O2 0.205 0.541 0.795
```

Largest 10 diffraction maxima, most intense first, 2θ = 10–90°:
2θ/deg	d [Å]	Rel. int.	hkl
32.39	2.764	100	1 2 1
58.00	1.590	33	1 2 3
32.57	2.749	25	0 0 2
46.33	1.960	24	2 0 2
32.03	2.794	23	2 0 0
22.69	3.919	18	1 0 1
46.60	1.949	15	0 4 0
67.82	1.382	13	2 4 2
57.33	1.607	13	3 2 1
40.14	2.247	12	0 2 2